# Ba3Sm2WO9
Theoretical PXRD pattern, Cu Kα (weighted mean of Kα1 and Kα2). Input: DFT lattice parameters and positions (PBE+U).
Intensities are scaled so that the largest is 100.

Peak list (12 most intense, 2θ from 10° to 90°, by angle)
Position (°2θ)  intensity  index
20.23  4  0 2 0
28.76  100  2 0 0
41.02  9  0 4 0
41.18  19  2 0 6
50.93  27  3 2 3
51.03  13  1 2 9
59.54  15  4 0 0
67.31  6  1 6 3
67.56  12  4 0 6
74.94  6  4 4 0
82.04  7  3 6 3
82.19  10  5 2 3

Cell and atoms:
```
data_Ba3Sm2WO9
_cell_length_a 6.2048
_cell_length_b 8.8017
_cell_length_c 18.5831
_cell_angle_alpha 90.00
_cell_angle_beta 90.00
_cell_angle_gamma 90.00
_symmetry_space_group_name_H-M 'I m m m'
_symmetry_Int_Tables_number 71
_symmetry_space_group_name_Hall '-I 2 2'
loop_
_atom_site_label
_atom_site_fract_x
_atom_site_fract_y
_atom_site_fract_z
Ba1 0.0000 0.2378 0.1601
Ba2 0.0000 0.2604 0.5000
Sm1 0.0000 0.0000 0.0000
Sm2 0.0000 0.5000 0.0000
Sm3 0.0000 0.5000 0.3265
W1 0.0000 0.0000 0.3355
O1 0.0000 0.2252 0.3323
O2 0.0000 0.2528 0.0000
O3 0.2232 0.0000 0.4109
O4 0.2260 0.0000 0.2622
O5 0.2481 0.0000 0.0912
```